Zr4B3: theoretical X-ray diffraction stick pattern (Cu Kα (λ = 1.5418 Å)), based on DFT lattice parameters and positions (PBE).
No peak broadening, texture or thermal motion is included.

```
data_Zr4B3
_chemical_formula_sum 'Zr8 B6'
_cell_length_a 8.8090
_cell_length_b 8.8090
_cell_length_c 3.2805
_cell_angle_alpha 90.00
_cell_angle_beta 90.00
_cell_angle_gamma 120.00
_symmetry_space_group_name_H-M 'P 63/m'
_symmetry_Int_Tables_number 176
_symmetry_space_group_name_Hall '-P 6c'
loop_
_atom_site_label
_atom_site_type_symbol
_atom_site_fract_x
_atom_site_fract_y
_atom_site_fract_z
Zr1 Zr 0.0156 0.3339 0.2500
Zr2 Zr 0.3333 0.6667 0.7500
B1 B 0.0053 0.1231 0.7500
```

Top 6 peaks for 2θ from 10° to 80°, low angle first:
| 2theta | intensity | (hkl) |
| --- | --- | --- |
| 34.1 | 94 | 1 1 1 |
| 35.3 | 100 | 3 0 0 |
| 36.1 | 17 | 2 0 1 |
| 49.9 | 34 | 2 2 1 |
| 62.6 | 26 | 1 4 1 |
| 68.0 | 28 | 3 0 2 |

Si4Ni3Ir: theoretical X-ray diffraction stick pattern (Cu Kα (λ = 1.5418 Å)), based on DFT lattice parameters and positions (PBE).
No peak broadening, texture or thermal motion is included.

```
data_Si4Ni3Ir
_chemical_formula_sum 'Si4 Ni3 Ir1'
_cell_length_a 3.9103
_cell_length_b 3.8662
_cell_length_c 6.3859
_cell_angle_alpha 90.00
_cell_angle_beta 90.61
_cell_angle_gamma 90.00
_symmetry_space_group_name_H-M 'P 1 m 1'
_symmetry_Int_Tables_number 6
loop_
_symmetry_equiv_pos_as_xyz
'x,y,z'
'x,-y,z'
loop_
_atom_site_label
_atom_site_type_symbol
_atom_site_fract_x
_atom_site_fract_y
_atom_site_fract_z
Si1 Si 0.0000 0.0000 0.0000
Si2 Si 0.0067 0.0000 0.5346
Si3 Si 0.4930 0.5000 0.5360
Si4 Si 0.5054 0.5000 0.0018
Ni1 Ni 0.0019 0.5000 0.7710
Ni2 Ni 0.5031 0.0000 0.7680
Ni3 Ni 0.5123 0.0000 0.3327
Ir1 Ir 0.0112 0.5000 0.2225
```

Top 6 peaks for 2θ from 10° to 80°, low angle first:
| 2theta | intensity | (hkl) |
| --- | --- | --- |
| 26.9 | 56 | 0 1 1 |
| 32.6 | 81 | 1 1 0 |
| 43.3 | 100 | 1 1 -2 |
| 43.6 | 99 | 1 1 2 |
| 46.4 | 50 | 2 0 0 |
| 47.0 | 49 | 0 2 0 |